No. 1
LuCo5P3: theoretical powder diffractogram (Cu Kα, 1.54184 Å), based on DFT lattice parameters and positions (GGA-PBE).
Neutral-atom scattering factors, no anomalous dispersion.

Crystal structure
abc: 11.664 3.612 10.222
angles: 90.00 90.00 90.00
Space group Pnma (No. 62)
Inequivalent atoms, fractional coordinates:
Lu  0.203  0.250  0.083
Co  0.010  0.750  0.716
Co  0.013  0.750  0.093
Co  0.069  0.750  0.467
Co  0.176  0.250  0.779
Co  0.199  0.250  0.383
P  0.110  0.750  0.900
P  0.113  0.250  0.582
P  0.130  0.750  0.269

The 6 most intense peaks (10 to 80 degrees two-theta), by angle:
| (hkl) | 2theta | d/Å | I (rel.) |
| --- | --- | --- | --- |
| 1 1 1 | 27.3 | 3.269 | 22 |
| 2 1 3 | 39.5 | 2.281 | 100 |
| 4 1 0 | 39.7 | 2.270 | 70 |
| 4 0 3 | 40.7 | 2.215 | 26 |
| 0 2 0 | 50.5 | 1.806 | 32 |
| 6 0 3 | 54.3 | 1.689 | 23 |


No. 2
LuCo3P2: theoretical powder diffractogram (Cu Kα, 1.54184 Å), based on DFT lattice parameters and positions (GGA-PBE).
Neutral-atom scattering factors, no anomalous dispersion.

Crystal structure
abc: 3.646 10.455 12.042
angles: 90.00 90.00 90.00
Space group Pmmn (No. 59, origin choice 2)
Inequivalent atoms, fractional coordinates:
Lu  0.250  0.069  0.206
Lu  0.250  0.250  0.477
Co  0.250  0.128  0.709
Co  0.250  0.250  0.013
Co  0.250  0.547  0.431
Co  0.250  0.583  0.995
Co  0.250  0.750  0.160
Co  0.250  0.750  0.704
P  0.250  0.096  0.891
P  0.250  0.563  0.617
P  0.250  0.750  0.346
P  0.250  0.750  0.883

The 6 most intense peaks (10 to 80 degrees two-theta), by angle:
| (hkl) | 2theta | d/Å | I (rel.) |
| --- | --- | --- | --- |
| 0 0 4 | 29.6 | 3.013 | 13 |
| 1 3 2 | 38.8 | 2.323 | 100 |
| 0 2 5 | 41.3 | 2.188 | 12 |
| 2 0 0 | 50.0 | 1.823 | 19 |
| 0 3 6 | 52.6 | 1.739 | 13 |
| 2 6 0 | 75.5 | 1.259 | 15 |


No. 3
Lu2CoRh: theoretical powder diffractogram (Cu Kα, 1.54184 Å), based on DFT lattice parameters and positions (GGA-PBE).
Neutral-atom scattering factors, no anomalous dispersion.

Crystal structure
abc: 6.626 6.626 6.626
angles: 90.00 90.00 90.00
Space group Fm-3m (No. 225)
Inequivalent atoms, fractional coordinates:
Lu  0.250  0.250  0.250
Co  0.000  0.000  0.000
Rh  0.000  0.000  0.500

The 6 most intense peaks (10 to 80 degrees two-theta), by angle:
| (hkl) | 2theta | d/Å | I (rel.) |
| --- | --- | --- | --- |
| 2 0 0 | 26.9 | 3.313 | 15 |
| 2 2 0 | 38.4 | 2.343 | 100 |
| 2 2 2 | 47.5 | 1.913 | 5 |
| 4 0 0 | 55.5 | 1.657 | 17 |
| 4 2 0 | 62.7 | 1.482 | 6 |
| 4 2 2 | 69.5 | 1.353 | 35 |


No. 4
Lu2CoRu: theoretical powder diffractogram (Cu Kα, 1.54184 Å), based on DFT lattice parameters and positions (GGA-PBE).
Neutral-atom scattering factors, no anomalous dispersion.

Crystal structure
abc: 6.608 6.608 6.608
angles: 90.00 90.00 90.00
Space group Fm-3m (No. 225)
Inequivalent atoms, fractional coordinates:
Lu  0.250  0.250  0.250
Co  0.000  0.000  0.000
Ru  0.000  0.000  0.500

The 6 most intense peaks (10 to 80 degrees two-theta), by angle:
| (hkl) | 2theta | d/Å | I (rel.) |
| --- | --- | --- | --- |
| 2 0 0 | 27.0 | 3.304 | 16 |
| 2 2 0 | 38.5 | 2.336 | 100 |
| 2 2 2 | 47.7 | 1.908 | 5 |
| 4 0 0 | 55.6 | 1.652 | 17 |
| 4 2 0 | 62.9 | 1.478 | 6 |
| 4 2 2 | 69.7 | 1.349 | 34 |


No. 5
LuScCo2: theoretical powder diffractogram (Cu Kα, 1.54184 Å), based on DFT lattice parameters and positions (GGA-PBE).
Neutral-atom scattering factors, no anomalous dispersion.

Crystal structure
abc: 6.383 6.383 6.383
angles: 90.00 90.00 90.00
Space group Fm-3m (No. 225)
Inequivalent atoms, fractional coordinates:
Lu  0.000  0.000  0.000
Sc  0.000  0.000  0.500
Co  0.250  0.250  0.250

The 6 most intense peaks (10 to 80 degrees two-theta), by angle:
| (hkl) | 2theta | d/Å | I (rel.) |
| --- | --- | --- | --- |
| 1 1 1 | 24.2 | 3.685 | 34 |
| 2 0 0 | 28.0 | 3.192 | 10 |
| 2 2 0 | 39.9 | 2.257 | 100 |
| 3 1 1 | 47.2 | 1.925 | 18 |
| 4 0 0 | 57.8 | 1.596 | 16 |
| 4 2 2 | 72.6 | 1.303 | 32 |


No. 6
Lu2Co3Si5: theoretical powder diffractogram (Cu Kα, 1.54184 Å), based on DFT lattice parameters and positions (GGA-PBE).
Neutral-atom scattering factors, no anomalous dispersion.

Crystal structure
abc: 9.529 11.092 5.481
angles: 90.00 90.00 90.00
Space group Ibam (No. 72)
Inequivalent atoms, fractional coordinates:
Lu  0.235  0.134  0.000
Co  0.000  0.500  0.250
Co  0.113  0.137  0.500
Si  0.000  0.000  0.250
Si  0.000  0.271  0.250
Si  0.158  0.398  0.000

The 6 most intense peaks (10 to 80 degrees two-theta), by angle:
| (hkl) | 2theta | d/Å | I (rel.) |
| --- | --- | --- | --- |
| 1 2 1 | 24.7 | 3.608 | 65 |
| 3 2 1 | 36.5 | 2.462 | 100 |
| 2 4 0 | 37.5 | 2.397 | 55 |
| 2 0 2 | 37.9 | 2.376 | 54 |
| 0 4 2 | 46.6 | 1.949 | 54 |
| 5 2 1 | 53.5 | 1.712 | 28 |


No. 7
Lu2Co3Si5: theoretical powder diffractogram (Cu Kα, 1.54184 Å), based on DFT lattice parameters and positions (GGA-PBE).
Neutral-atom scattering factors, no anomalous dispersion.

Crystal structure
abc: 10.634 11.344 5.429
angles: 90.00 118.33 90.00
Space group C2/c (No. 15)
Inequivalent atoms, fractional coordinates:
Lu  0.232  0.138  0.235
Co  0.000  0.497  0.750
Co  0.098  0.139  0.626
Si  0.000  0.012  0.250
Si  0.000  0.273  0.250
Si  0.000  0.288  0.750
Si  0.166  0.402  0.167

The 6 most intense peaks (10 to 80 degrees two-theta), by angle:
| (hkl) | 2theta | d/Å | I (rel.) |
| --- | --- | --- | --- |
| 0 2 1 | 24.4 | 3.655 | 63 |
| 2 2 -1 | 24.9 | 3.578 | 66 |
| 2 2 1 | 36.3 | 2.477 | 89 |
| 2 4 0 | 37.1 | 2.425 | 88 |
| 4 2 -1 | 37.4 | 2.407 | 100 |
| 2 4 -2 | 46.3 | 1.960 | 92 |


No. 8
LuCoSi: theoretical powder diffractogram (Cu Kα, 1.54184 Å), based on DFT lattice parameters and positions (GGA-PBE).
Neutral-atom scattering factors, no anomalous dispersion.

Crystal structure
abc: 6.697 4.103 6.959
angles: 90.00 90.00 90.00
Space group Pnma (No. 62)
Inequivalent atoms, fractional coordinates:
Lu  0.014  0.250  0.193
Co  0.148  0.750  0.440
Si  0.199  0.250  0.608

The 6 most intense peaks (10 to 80 degrees two-theta), by angle:
| (hkl) | 2theta | d/Å | I (rel.) |
| --- | --- | --- | --- |
| 0 1 1 | 25.2 | 3.535 | 60 |
| 1 1 2 | 36.4 | 2.467 | 70 |
| 2 1 1 | 37.0 | 2.431 | 100 |
| 2 0 2 | 37.3 | 2.413 | 32 |
| 1 0 3 | 41.2 | 2.192 | 31 |
| 0 2 0 | 44.1 | 2.052 | 32 |


Q: Which formula does entry 6 have?
A: Lu2Co3Si5


Repeat the eighth record exactly.
LuCoSi: theoretical powder diffractogram (Cu Kα, 1.54184 Å), based on DFT lattice parameters and positions (GGA-PBE).
Neutral-atom scattering factors, no anomalous dispersion.

Crystal structure
abc: 6.697 4.103 6.959
angles: 90.00 90.00 90.00
Space group Pnma (No. 62)
Inequivalent atoms, fractional coordinates:
Lu  0.014  0.250  0.193
Co  0.148  0.750  0.440
Si  0.199  0.250  0.608

The 6 most intense peaks (10 to 80 degrees two-theta), by angle:
| (hkl) | 2theta | d/Å | I (rel.) |
| --- | --- | --- | --- |
| 0 1 1 | 25.2 | 3.535 | 60 |
| 1 1 2 | 36.4 | 2.467 | 70 |
| 2 1 1 | 37.0 | 2.431 | 100 |
| 2 0 2 | 37.3 | 2.413 | 32 |
| 1 0 3 | 41.2 | 2.192 | 31 |
| 0 2 0 | 44.1 | 2.052 | 32 |